# 1
Theoretical powder X-ray diffraction pattern of Zn6Cd4F19 for Cu Ka, from a PBE-relaxed structure.
Peak positions follow from Bragg's law for the DFT cell and can differ from measured ones.

Most intense lines, 2θ from 5° to 70°, by angle:
2θ/deg  d (Å)  I_rel
23.4  3.797  100.0
30.4  2.941  84.9
33.4  2.685  33.9
36.1  2.486  41.7
41.2  2.192  39.2
47.9  1.899  21.5
50.0  1.824  50.4
54.0  1.698  37.9
57.8  1.595  8.2
59.6  1.550  28.6
61.5  1.509  12.4
68.4  1.371  13.3

Structural model:
a = 8.055 Å, b = 8.055 Å, c = 8.055 Å
α = 109.47°, β = 109.47°, γ = 109.47°
Atoms (fractional coordinates):
Zn  0.166  0.500  0.666
Zn  0.334  0.834  0.500
Zn  0.500  0.334  0.834
Zn  0.500  0.666  0.166
Zn  0.666  0.166  0.500
Zn  0.834  0.500  0.334
Cd  0.000  0.000  0.293
Cd  0.000  0.293  0.000
Cd  0.293  0.000  0.000
Cd  0.707  0.707  0.707
F  0.000  0.000  0.000
F  0.000  0.344  0.344
F  0.000  0.656  0.656
F  0.034  0.758  0.363
F  0.242  0.275  0.605
F  0.275  0.605  0.242
F  0.329  0.725  0.966
F  0.344  0.000  0.344
F  0.344  0.344  0.000
F  0.363  0.034  0.758
F  0.395  0.671  0.637
F  0.605  0.242  0.275
F  0.637  0.395  0.671
F  0.656  0.000  0.656
F  0.656  0.656  0.000
F  0.671  0.637  0.395
F  0.725  0.966  0.329
F  0.758  0.363  0.034
F  0.966  0.329  0.725

***

# 2
Theoretical powder X-ray diffraction pattern of CdFe for Cu Ka, from a PBE-relaxed structure.
Peak positions follow from Bragg's law for the DFT cell and can differ from measured ones.

Most intense lines, 2θ from 5° to 70°, by angle:
2θ/deg  d (Å)  I_rel
30.3  2.952  12.7
30.4  2.945  9.2
34.2  2.620  9.3
38.9  2.314  30.4
39.1  2.305  100.0
41.6  2.172  57.2
52.4  1.747  9.8
54.8  1.675  6.1
60.2  1.538  6.5
60.3  1.534  10.1
68.9  1.364  11.4
69.1  1.359  7.5

Structural model:
a = 5.666 Å, b = 5.666 Å, c = 6.152 Å
α = 105.47°, β = 105.47°, γ = 31.42°
Atoms (fractional coordinates):
Cd  0.000  0.000  0.000
Cd  0.029  0.029  0.502
Cd  0.710  0.710  0.861
Fe  0.334  0.334  0.607
Fe  0.340  0.340  0.220
Fe  0.700  0.700  0.335

***

# 3
Theoretical powder X-ray diffraction pattern of CdFe for Cu Ka, from a PBE-relaxed structure.
Peak positions follow from Bragg's law for the DFT cell and can differ from measured ones.

Most intense lines, 2θ from 5° to 70°, by angle:
2θ/deg  d (Å)  I_rel
24.7  3.610  16.7
38.9  2.314  100.0
41.4  2.183  4.4
44.4  2.039  33.8
46.9  1.938  14.3
51.5  1.776  4.6
62.3  1.490  2.6
64.3  1.449  1.2
64.6  1.442  10.3
66.6  1.405  18.8

Structural model:
a = 4.832 Å, b = 4.832 Å, c = 4.832 Å
α = 130.06°, β = 130.06°, γ = 73.30°
Atoms (fractional coordinates):
Cd  0.375  0.625  0.750
Cd  0.625  0.375  0.250
Fe  0.125  0.875  0.250
Fe  0.875  0.125  0.750

***

# 4
Theoretical powder X-ray diffraction pattern of CdFe5 for Cu Ka, from a PBE-relaxed structure.
Peak positions follow from Bragg's law for the DFT cell and can differ from measured ones.

Most intense lines, 2θ from 5° to 70°, by angle:
2θ/deg  d (Å)  I_rel
21.0  4.232  4.8
29.1  3.073  3.5
30.7  2.913  3.4
32.6  2.751  4.0
34.6  2.594  6.0
42.2  2.142  35.8
42.7  2.116  100.0
44.0  2.059  64.4
44.2  2.050  3.9
59.6  1.551  9.9
63.6  1.464  9.4
64.3  1.448  9.6

Structural model:
a = 4.860 Å, b = 4.860 Å, c = 6.203 Å
α = 107.94°, β = 107.94°, γ = 34.67°
Atoms (fractional coordinates):
Cd  0.000  0.000  0.000
Fe  0.000  0.000  0.500
Fe  0.322  0.322  0.188
Fe  0.330  0.330  0.644
Fe  0.670  0.670  0.356
Fe  0.678  0.678  0.812

***

# 5
Theoretical powder X-ray diffraction pattern of Cd5Fe4 for Cu Ka, from a PBE-relaxed structure.
Peak positions follow from Bragg's law for the DFT cell and can differ from measured ones.

Most intense lines, 2θ from 5° to 70°, by angle:
2θ/deg  d (Å)  I_rel
13.2  6.727  4.8
26.5  3.364  9.1
27.8  3.210  1.8
29.7  3.009  2.4
33.7  2.661  8.8
38.8  2.322  100.0
40.2  2.242  43.0
48.8  1.866  3.5
53.8  1.705  9.6
58.2  1.586  12.7
58.9  1.569  6.7
69.2  1.357  15.8

Structural model:
a = 6.940 Å, b = 6.940 Å, c = 6.940 Å
α = 93.46°, β = 93.46°, γ = 151.56°
Atoms (fractional coordinates):
Cd  0.000  0.000  0.000
Cd  0.331  0.331  0.662
Cd  0.331  0.669  0.000
Cd  0.669  0.331  0.000
Cd  0.669  0.669  0.338
Fe  0.000  0.362  0.362
Fe  0.000  0.638  0.638
Fe  0.362  0.000  0.362
Fe  0.638  0.000  0.638

***

# 6
Theoretical powder X-ray diffraction pattern of CdFe5 for Cu Ka, from a PBE-relaxed structure.
Peak positions follow from Bragg's law for the DFT cell and can differ from measured ones.

Most intense lines, 2θ from 5° to 70°, by angle:
2θ/deg  d (Å)  I_rel
22.8  3.897  5.0
26.4  3.375  5.5
37.7  2.387  41.6
44.5  2.035  100.0
46.6  1.949  28.4
54.4  1.688  0.8
59.7  1.549  1.2
61.4  1.509  2.0
68.0  1.378  13.3

Structural model:
a = 4.773 Å, b = 4.773 Å, c = 4.773 Å
α = 60.00°, β = 60.00°, γ = 60.00°
Atoms (fractional coordinates):
Cd  0.000  0.000  0.000
Fe  0.125  0.625  0.625
Fe  0.250  0.250  0.250
Fe  0.625  0.125  0.625
Fe  0.625  0.625  0.125
Fe  0.625  0.625  0.625

***

# 7
Theoretical powder X-ray diffraction pattern of Cd5Fe3 for Cu Ka, from a PBE-relaxed structure.
Peak positions follow from Bragg's law for the DFT cell and can differ from measured ones.

Most intense lines, 2θ from 5° to 70°, by angle:
2θ/deg  d (Å)  I_rel
29.8  2.998  9.7
32.5  2.754  6.8
37.5  2.397  54.7
38.1  2.363  100.0
39.3  2.293  92.8
39.9  2.260  41.4
53.1  1.725  15.0
55.9  1.645  9.2
58.6  1.575  13.9
66.9  1.399  6.8
68.0  1.379  7.4
68.8  1.364  6.5

Structural model:
a = 7.070 Å, b = 7.104 Å, c = 7.147 Å
α = 65.32°, β = 73.89°, γ = 61.94°
Atoms (fractional coordinates):
Cd  0.029  0.413  0.248
Cd  0.134  0.023  0.117
Cd  0.307  0.676  0.919
Cd  0.331  0.485  0.409
Cd  0.406  0.251  0.857
Cd  0.594  0.749  0.143
Cd  0.669  0.515  0.591
Cd  0.693  0.324  0.081
Cd  0.866  0.977  0.883
Cd  0.971  0.587  0.752
Fe  0.169  0.156  0.646
Fe  0.199  0.883  0.519
Fe  0.442  0.078  0.334
Fe  0.558  0.922  0.666
Fe  0.801  0.117  0.481
Fe  0.831  0.844  0.354

***

# 8
Theoretical powder X-ray diffraction pattern of Cd4Fe5 for Cu Ka, from a PBE-relaxed structure.
Peak positions follow from Bragg's law for the DFT cell and can differ from measured ones.

Most intense lines, 2θ from 5° to 70°, by angle:
2θ/deg  d (Å)  I_rel
15.0  5.906  1.8
21.3  4.176  2.9
30.3  2.953  9.4
32.5  2.752  14.0
39.2  2.298  100.0
44.5  2.036  18.4
46.1  1.969  28.7
54.8  1.676  3.4
56.2  1.638  3.9
64.3  1.449  6.9
66.0  1.415  18.3
67.3  1.392  7.4

Structural model:
a = 6.247 Å, b = 6.247 Å, c = 6.247 Å
α = 96.10°, β = 96.10°, γ = 141.97°
Atoms (fractional coordinates):
Cd  0.000  0.319  0.319
Cd  0.000  0.681  0.681
Cd  0.319  0.000  0.319
Cd  0.681  0.000  0.681
Fe  0.000  0.000  0.000
Fe  0.354  0.354  0.708
Fe  0.354  0.646  0.000
Fe  0.646  0.354  0.000
Fe  0.646  0.646  0.292